The following is a computed XRD peak list of CsCuTe2Pd. It was derived from a cell relaxed with GGA-PBE, using Cu Kα (λ = 1.5418 Å).
Lines closer than 0.1° are merged.

Largest 10 diffraction maxima, by angle, 5° ≤ 2θ ≤ 70°:
| 2theta | I_rel |
| --- | --- |
| 11.61 | 30 |
| 25.66 | 35 |
| 26.23 | 25 |
| 26.85 | 100 |
| 28.03 | 13 |
| 32.67 | 15 |
| 34.65 | 19 |
| 37.25 | 16 |
| 39.52 | 16 |
| 46.36 | 14 |

Cell: 8.1549 6.1460 6.8109 Å, 90.00 110.80 90.00°
Fractional coordinates of all 10 atoms:
Cs (0.0000, 0.2141, 0.2500)
Cs (0.0000, 0.7859, 0.7500)
Cu (0.5000, 0.0000, 0.0000)
Cu (0.5000, 0.0000, 0.5000)
Te (0.3006, 0.3091, 0.8532)
Te (0.3006, 0.6909, 0.3532)
Te (0.6994, 0.3091, 0.6468)
Te (0.6994, 0.6909, 0.1468)
Pd (0.5000, 0.3794, 0.2500)
Pd (0.5000, 0.6206, 0.7500)

The following is a computed XRD peak list of HoIrPt. It was derived from a cell relaxed with GGA-PBE, using Cu Kα (λ = 1.5418 Å).
Lines closer than 0.1° are merged.

Largest 10 diffraction maxima, by angle, 5° ≤ 2θ ≤ 70°:
| 2theta | I_rel |
| --- | --- |
| 20.20 | 16 |
| 33.25 | 28 |
| 39.10 | 51 |
| 39.31 | 100 |
| 41.06 | 69 |
| 63.18 | 13 |
| 63.58 | 19 |
| 63.67 | 12 |
| 69.78 | 30 |
| 69.94 | 7 |

Cell: 5.3633 5.3804 7.6508 Å, 90.00 90.00 90.00°
Fractional coordinates of all 12 atoms:
Ho (0.0000, 0.2500, 0.1266)
Ho (0.0000, 0.7500, 0.8734)
Ho (0.5000, 0.2500, 0.3734)
Ho (0.5000, 0.7500, 0.6266)
Ir (0.0000, 0.0000, 0.5000)
Ir (0.0000, 0.5000, 0.5000)
Ir (0.5000, 0.0000, 0.0000)
Ir (0.5000, 0.5000, 0.0000)
Pt (0.2500, 0.2500, 0.7500)
Pt (0.2500, 0.7500, 0.2500)
Pt (0.7500, 0.2500, 0.7500)
Pt (0.7500, 0.7500, 0.2500)

The following is a computed XRD peak list of RbSb3S5O. It was derived from a cell relaxed with GGA-PBE, using Cu Kα (λ = 1.5418 Å).
Lines closer than 0.1° are merged.

Largest 10 diffraction maxima, by angle, 5° ≤ 2θ ≤ 70°:
| 2theta | I_rel |
| --- | --- |
| 16.37 | 59 |
| 19.12 | 78 |
| 21.75 | 73 |
| 22.48 | 43 |
| 23.89 | 56 |
| 24.25 | 100 |
| 25.18 | 90 |
| 29.38 | 56 |
| 30.14 | 46 |
| 30.56 | 66 |

Cell: 7.1015 9.1557 9.3199 Å, 91.55 94.56 93.66°
Fractional coordinates of all 20 atoms:
Rb (0.2199, 0.3662, 0.1168)
Rb (0.7801, 0.6338, 0.8832)
Sb (0.1538, 0.3814, 0.6421)
Sb (0.2520, 0.9629, 0.7843)
Sb (0.3806, 0.8194, 0.3648)
Sb (0.6194, 0.1806, 0.6352)
Sb (0.7480, 0.0371, 0.2157)
Sb (0.8462, 0.6186, 0.3579)
S (0.0625, 0.7237, 0.1946)
S (0.2542, 0.0745, 0.5440)
S (0.3272, 0.7053, 0.7323)
S (0.3986, 0.0133, 0.1800)
S (0.4500, 0.3578, 0.7941)
S (0.5500, 0.6422, 0.2059)
S (0.6014, 0.9867, 0.8200)
S (0.6728, 0.2947, 0.2677)
S (0.7458, 0.9255, 0.4560)
S (0.9375, 0.2763, 0.8054)
O (0.1337, 0.5932, 0.7442)
O (0.8663, 0.4068, 0.2558)

The following is a computed XRD peak list of SrTc2AuO8. It was derived from a cell relaxed with GGA-PBE, using Cu Kα (λ = 1.5418 Å).
Lines closer than 0.1° are merged.

Largest 10 diffraction maxima, by angle, 5° ≤ 2θ ≤ 70°:
| 2theta | I_rel |
| --- | --- |
| 16.09 | 38 |
| 25.05 | 74 |
| 26.70 | 100 |
| 29.19 | 30 |
| 31.33 | 19 |
| 40.38 | 24 |
| 46.15 | 24 |
| 47.14 | 20 |
| 55.00 | 18 |
| 67.35 | 17 |

Cell: 7.1401 7.1401 7.1401 Å, 55.76 55.76 55.76°
Fractional coordinates of all 12 atoms:
Sr (0.0000, 0.0000, 0.0000)
Tc (0.2920, 0.2920, 0.2920)
Tc (0.7080, 0.7080, 0.7080)
Au (0.5000, 0.5000, 0.5000)
O (0.1171, 0.1171, 0.5513)
O (0.1171, 0.5513, 0.1171)
O (0.3907, 0.3907, 0.3907)
O (0.4487, 0.8829, 0.8829)
O (0.5513, 0.1171, 0.1171)
O (0.6093, 0.6093, 0.6093)
O (0.8829, 0.4487, 0.8829)
O (0.8829, 0.8829, 0.4487)

The following is a computed XRD peak list of LiCd2InAg5. It was derived from a cell relaxed with GGA-PBE, using Cu Kα (λ = 1.5418 Å).
Lines closer than 0.1° are merged.

Largest 10 diffraction maxima, by angle, 5° ≤ 2θ ≤ 70°:
| 2theta | I_rel |
| --- | --- |
| 21.62 | 20 |
| 35.64 | 23 |
| 35.77 | 17 |
| 36.88 | 52 |
| 37.05 | 13 |
| 38.02 | 100 |
| 38.43 | 57 |
| 39.20 | 68 |
| 53.45 | 24 |
| 69.23 | 16 |

Cell: 7.4690 7.4690 10.7358 Å, 90.00 90.00 143.44°
Fractional coordinates of all 18 atoms:
Li (0.2228, 0.7772, 0.5000)
Li (0.7772, 0.2228, 0.0000)
Cd (0.3608, 0.6392, 0.1906)
Cd (0.4303, 0.5697, 0.9102)
Cd (0.5697, 0.4303, 0.4102)
Cd (0.6392, 0.3608, 0.6906)
In (0.1731, 0.8269, 0.0218)
In (0.8269, 0.1731, 0.5218)
Ag (0.0379, 0.9621, 0.5618)
Ag (0.0495, 0.9505, 0.8198)
Ag (0.1422, 0.8578, 0.2780)
Ag (0.2458, 0.7542, 0.7682)
Ag (0.4259, 0.5741, 0.6275)
Ag (0.5741, 0.4259, 0.1275)
Ag (0.7542, 0.2458, 0.2682)
Ag (0.8578, 0.1422, 0.7780)
Ag (0.9505, 0.0495, 0.3198)
Ag (0.9621, 0.0379, 0.0618)

The following is a computed XRD peak list of SbAu2Cl. It was derived from a cell relaxed with GGA-PBE, using Cu Kα (λ = 1.5418 Å).
Lines closer than 0.1° are merged.

Largest 10 diffraction maxima, by angle, 5° ≤ 2θ ≤ 70°:
| 2theta | I_rel |
| --- | --- |
| 12.50 | 100 |
| 28.07 | 28 |
| 33.64 | 32 |
| 34.70 | 58 |
| 35.08 | 44 |
| 37.06 | 19 |
| 41.74 | 14 |
| 45.58 | 22 |
| 49.27 | 12 |
| 57.29 | 13 |

Cell: 3.8858 3.6987 7.1672 Å, 90.00 98.78 90.00°
Fractional coordinates of all 4 atoms:
Sb (0.0000, 0.0000, 0.0000)
Au (0.3939, 0.5000, 0.8468)
Au (0.7028, 0.0000, 0.6321)
Cl (0.6796, 0.5000, 0.3753)

The following is a computed XRD peak list of Rb2In3F11. It was derived from a cell relaxed with GGA-PBE, using Cu Kα (λ = 1.5418 Å).
Lines closer than 0.1° are merged.

Largest 10 diffraction maxima, by angle, 5° ≤ 2θ ≤ 70°:
| 2theta | I_rel |
| --- | --- |
| 21.50 | 42 |
| 25.65 | 68 |
| 25.75 | 63 |
| 26.33 | 77 |
| 26.45 | 100 |
| 26.82 | 68 |
| 28.41 | 86 |
| 43.80 | 42 |
| 46.32 | 45 |
| 51.87 | 57 |

Cell: 6.7404 8.2672 10.1721 Å, 90.00 108.12 90.00°
Fractional coordinates of all 32 atoms:
Rb (0.0851, 0.2500, 0.2081)
Rb (0.1024, 0.7500, 0.1839)
Rb (0.8976, 0.2500, 0.8161)
Rb (0.9149, 0.7500, 0.7919)
In (0.2815, 0.0027, 0.5653)
In (0.2815, 0.4973, 0.5653)
In (0.5000, 0.0000, 0.0000)
In (0.5000, 0.5000, 0.0000)
In (0.7185, 0.5027, 0.4347)
In (0.7185, 0.9973, 0.4347)
F (0.0038, 0.5242, 0.3795)
F (0.0038, 0.9758, 0.3795)
F (0.2120, 0.0492, 0.0195)
F (0.2120, 0.4508, 0.0195)
F (0.2552, 0.2500, 0.5110)
F (0.2943, 0.7500, 0.6030)
F (0.3809, 0.0496, 0.7848)
F (0.3809, 0.4504, 0.7848)
F (0.3827, 0.5245, 0.3794)
F (0.3827, 0.9755, 0.3794)
F (0.3958, 0.7500, 0.9640)
F (0.6042, 0.2500, 0.0360)
F (0.6173, 0.0245, 0.6206)
F (0.6173, 0.4755, 0.6206)
F (0.6191, 0.5496, 0.2152)
F (0.6191, 0.9504, 0.2152)
F (0.7057, 0.2500, 0.3970)
F (0.7448, 0.7500, 0.4890)
F (0.7880, 0.5492, 0.9805)
F (0.7880, 0.9508, 0.9805)
F (0.9962, 0.0242, 0.6205)
F (0.9962, 0.4758, 0.6205)

The following is a computed XRD peak list of PmHoSnTe. It was derived from a cell relaxed with GGA-PBE, using Cu Kα (λ = 1.5418 Å).
Lines closer than 0.1° are merged.

Largest 10 diffraction maxima, by angle, 5° ≤ 2θ ≤ 70°:
| 2theta | I_rel |
| --- | --- |
| 24.60 | 2 |
| 28.44 | 100 |
| 37.12 | 1 |
| 40.56 | 38 |
| 40.74 | 38 |
| 50.13 | 7 |
| 50.43 | 21 |
| 58.84 | 13 |
| 66.50 | 17 |
| 66.75 | 18 |

Cell: 4.4298 4.4298 21.8381 Å, 90.00 90.00 120.00°
Fractional coordinates of all 12 atoms:
Pm (0.0000, 0.0000, 0.0000)
Pm (0.3333, 0.6667, 0.6667)
Pm (0.6667, 0.3333, 0.3333)
Ho (0.0000, 0.0000, 0.4922)
Ho (0.3333, 0.6667, 0.1589)
Ho (0.6667, 0.3333, 0.8256)
Sn (0.0000, 0.0000, 0.7486)
Sn (0.3333, 0.6667, 0.4153)
Sn (0.6667, 0.3333, 0.0819)
Te (0.0000, 0.0000, 0.2431)
Te (0.3333, 0.6667, 0.9097)
Te (0.6667, 0.3333, 0.5764)

> What is the formula in the sixth record?

SbAu2Cl